Theoretical powder diffractogram of CrGe2WO8 for copper Kα, from DFT lattice parameters and positions (PBE+U).
No peak broadening, texture or thermal motion is included.

Most intense lines, 2θ from 10° to 90°, low angle first:
| Position (°2θ) | Rel. int. |
| --- | --- |
| 19.20 | 23 |
| 19.54 | 35 |
| 27.28 | 100 |
| 33.78 | 11 |
| 34.38 | 79 |
| 38.96 | 20 |
| 52.92 | 64 |
| 56.27 | 15 |
| 63.64 | 13 |
| 65.65 | 15 |
| 67.64 | 19 |
| 80.90 | 12 |

Structure:
a b c (Å): 5.5998 5.5998 5.5998
angles (deg): 108.56 108.56 111.32
Element x y z (fractional)
Cr 0.0000 0.0000 0.0000
Ge 0.5000 0.5000 0.0000
Ge 0.7500 0.2500 0.5000
W 0.2500 0.7500 0.5000
O 0.3087 0.1171 0.8083
O 0.3087 0.5004 0.1917
O 0.3568 0.0420 0.3148
O 0.4996 0.6913 0.8083
O 0.7272 0.0420 0.6852
O 0.8829 0.6913 0.1917
O 0.9580 0.2728 0.3148
O 0.9580 0.6432 0.6852